# La6Pr2SmSc
Simulated X-ray diffraction stick pattern, Cu Kα (λ = 1.5418 Å). Input: a crystal structure in Alexandria, relaxed with GGA-PBE.
Lines closer than 0.1° are merged.

Largest 6 diffraction maxima, by intensity, 10 to 90 degrees two-theta:
2θ = 30.5°, intensity 100.0
2θ = 30.8°, intensity 87.1
2θ = 25.3°, intensity 64.8
2θ = 31.2°, intensity 62.5
2θ = 32.1°, intensity 39.9
2θ = 29.4°, intensity 39.4

Structure:
```
data_La6Pr2SmSc
_chemical_formula_sum 'La12 Pr4 Sm2 Sc2'
_symmetry_space_group_name_H-M 'C 1 2/m 1'
_symmetry_Int_Tables_number 12
_cell_length_a 10.206
_cell_length_b 7.425
_cell_length_c 9.465
_cell_angle_alpha 90.00
_cell_angle_beta 99.31
_cell_angle_gamma 90.00
loop_
_symmetry_equiv_pos_as_xyz
'x,y,z'
'-x,-y,-z'
'-x,y,-z'
'x,-y,z'
'x+1/2,y+1/2,z'
'-x+1/2,-y+1/2,-z'
'-x+1/2,y+1/2,-z'
'x+1/2,-y+1/2,z'
loop_
_atom_site_label
_atom_site_type_symbol
_atom_site_fract_x
_atom_site_fract_y
_atom_site_fract_z
La1 La 0.132 0.224 0.268
La2 La 0.134 0.000 0.624
Pr1 Pr 0.155 0.500 0.946
Sm1 Sm 0.000 0.500 0.500
Sc1 Sc 0.000 0.000 0.000
```

***

# SmEr12Tm7
Simulated X-ray diffraction stick pattern, Cu Kα (λ = 1.5418 Å). Input: a crystal structure in Alexandria, relaxed with GGA-PBE.
Lines closer than 0.1° are merged.

Largest 6 diffraction maxima, by intensity, 10 to 90 degrees two-theta:
2θ = 32.3°, intensity 100.0
2θ = 30.1°, intensity 63.5
2θ = 31.2°, intensity 41.8
2θ = 42.8°, intensity 33.5
2θ = 39.9°, intensity 31.7
2θ = 27.7°, intensity 20.2

Structure:
```
data_SmEr12Tm7
_chemical_formula_sum 'Sm3 Er36 Tm21'
_symmetry_space_group_name_H-M 'R -3'
_symmetry_Int_Tables_number 148
_symmetry_space_group_name_Hall '-R 3'
_cell_length_a 12.6684
_cell_length_b 12.6684
_cell_length_c 13.4635
_cell_angle_alpha 90.00
_cell_angle_beta 90.00
_cell_angle_gamma 120.00
loop_
_atom_site_label
_atom_site_type_symbol
_atom_site_fract_x
_atom_site_fract_y
_atom_site_fract_z
Sm1 Sm 0.0000 0.0000 0.0000
Er1 Er 0.0039 0.4373 0.2460
Er2 Er 0.0683 0.1982 0.3437
Tm1 Tm 0.0000 0.0000 0.5000
Tm2 Tm 0.0683 0.8659 0.8529
```

***

# KNaInAs2
Simulated X-ray diffraction stick pattern, Cu Kα (λ = 1.5418 Å). Input: a crystal structure in Alexandria, relaxed with GGA-PBE.
Lines closer than 0.1° are merged.

Largest 6 diffraction maxima, by intensity, 10 to 90 degrees two-theta:
2θ = 10.9°, intensity 100.0
2θ = 39.8°, intensity 88.1
2θ = 27.7°, intensity 42.0
2θ = 24.3°, intensity 40.1
2θ = 13.4°, intensity 35.3
2θ = 32.7°, intensity 33.6

Structure:
```
data_KNaInAs2
_chemical_formula_sum 'K4 Na4 In4 As8'
_symmetry_space_group_name_H-M 'C 1 2/m 1'
_symmetry_Int_Tables_number 12
_cell_length_a 16.393
_cell_length_b 3.850
_cell_length_c 12.135
_cell_angle_alpha 90.00
_cell_angle_beta 126.31
_cell_angle_gamma 90.00
loop_
_symmetry_equiv_pos_as_xyz
'x,y,z'
'-x,-y,-z'
'-x,y,-z'
'x,-y,z'
'x+1/2,y+1/2,z'
'-x+1/2,-y+1/2,-z'
'-x+1/2,y+1/2,-z'
'x+1/2,-y+1/2,z'
loop_
_atom_site_label
_atom_site_type_symbol
_atom_site_fract_x
_atom_site_fract_y
_atom_site_fract_z
K1 K 0.207 0.000 0.121
Na1 Na 0.148 0.500 0.375
In1 In 0.039 0.000 0.672
As1 As 0.065 0.500 0.842
As2 As 0.153 0.000 0.577
```